[1]
The following is a theoretical X-ray powder pattern of NaFeSe2O8. It was derived from a crystal structure in the Materials Project, relaxed with GGA+U, using Cu Kα (λ = 1.5418 Å).
Lines closer than 0.1° are merged.

Crystal structure
a = 5.0247 Å, b = 5.0247 Å, c = 7.3186 Å
α = 91.53°, β = 91.53°, γ = 66.69°
Fractional coordinates of all 12 atoms:
Na (0.0000, 0.0000, 0.0000)
Fe (0.0000, 0.0000, 0.5000)
Se (0.3623, 0.3623, 0.7231)
Se (0.6377, 0.6377, 0.2769)
O (0.2328, 0.7282, 0.7050)
O (0.2354, 0.2354, 0.5410)
O (0.2718, 0.7672, 0.2950)
O (0.2838, 0.2838, 0.9243)
O (0.7162, 0.7162, 0.0757)
O (0.7282, 0.2328, 0.7050)
O (0.7646, 0.7646, 0.4590)
O (0.7672, 0.2718, 0.2950)

Most intense lines, 10° ≤ 2θ ≤ 90°, in order of rising 2θ:
12.1 deg, d = 7.315 Å, rel. 52.3; 22.6 deg, d = 3.934 Å, rel. 100.0; 23.0 deg, d = 3.872 Å, rel. 44.7; 24.8 deg, d = 3.590 Å, rel. 65.8; 30.9 deg, d = 2.891 Å, rel. 66.8; 31.5 deg, d = 2.842 Å, rel. 32.7; 32.4 deg, d = 2.762 Å, rel. 39.2; 36.0 deg, d = 2.495 Å, rel. 52.4

***

[2]
The following is a theoretical X-ray powder pattern of NaFeSi2O6. It was derived from a crystal structure in the Materials Project, relaxed with GGA+U, using Cu Kα (λ = 1.5418 Å).
Lines closer than 0.1° are merged.

Crystal structure
a = 6.6317 Å, b = 6.6317 Å, c = 5.3631 Å
α = 103.11°, β = 103.11°, γ = 84.38°
Fractional coordinates of all 20 atoms:
Na (0.2007, 0.7993, 0.7500)
Na (0.7993, 0.2007, 0.2500)
Fe (0.3979, 0.6021, 0.2500)
Fe (0.6021, 0.3979, 0.7500)
Si (0.1209, 0.2990, 0.7660)
Si (0.2990, 0.1209, 0.2660)
Si (0.7010, 0.8791, 0.7340)
Si (0.8791, 0.7010, 0.2340)
O (0.1140, 0.6058, 0.3014)
O (0.1414, 0.1571, 0.9886)
O (0.1571, 0.1414, 0.4886)
O (0.3078, 0.4639, 0.8635)
O (0.3942, 0.8860, 0.1986)
O (0.4639, 0.3078, 0.3635)
O (0.5361, 0.6922, 0.6365)
O (0.6058, 0.1140, 0.8014)
O (0.6922, 0.5361, 0.1365)
O (0.8429, 0.8586, 0.5114)
O (0.8586, 0.8429, 0.0114)
O (0.8860, 0.3942, 0.6986)

Most intense lines, 10° ≤ 2θ ≤ 90°, in order of rising 2θ:
13.7 deg, d = 6.451 Å, rel. 37.3; 19.8 deg, d = 4.491 Å, rel. 21.7; 29.5 deg, d = 3.031 Å, rel. 100.0; 30.4 deg, d = 2.943 Å, rel. 50.8; 34.8 deg, d = 2.579 Å, rel. 24.1; 35.2 deg, d = 2.553 Å, rel. 37.3; 35.9 deg, d = 2.499 Å, rel. 37.4; 42.0 deg, d = 2.151 Å, rel. 20.3